Entry 1:
Starting from a cell relaxed with PBE, the X-ray diffraction stick pattern of TaNbS4 was calculated for Cu Kα.

Atomic structure:
```
TaNbS4
1.0
22.152 0.000 0.000
0.000 1.672 2.894
0.000 -1.672 2.894
Ta Nb S
1 1 4
Cartesian
0.000 0.000 0.000
11.076 0.000 2.894
1.563 0.000 1.930
9.511 0.000 4.824
12.642 0.000 4.824
20.589 0.000 1.930
```

Peak list (8 most intense, 2θ = 10–90°, by intensity)
| 2θ/deg | I/Imax |
| --- | --- |
| 16.00 | 100.0 |
| 37.10 | 88.5 |
| 31.16 | 79.7 |
| 33.24 | 79.4 |
| 42.31 | 74.7 |
| 34.98 | 47.3 |
| 39.57 | 46.4 |
| 31.96 | 45.1 |

=====

Entry 2:
Starting from a cell relaxed with PBE, the X-ray diffraction stick pattern of PrGaCuSnPd was calculated for Cu Kα.

Atomic structure:
```
PrGaCuSnPd
1.0
4.430 0.000 0.000
0.000 4.430 0.000
0.000 0.000 10.434
Pr Ga Cu Sn Pd
2 2 2 2 2
Cartesian
1.108 1.108 2.518
3.323 3.323 7.916
1.108 3.323 0.000
3.323 1.108 0.000
1.108 1.108 9.320
3.323 3.323 1.114
1.108 1.108 6.754
3.323 3.323 3.680
1.108 3.323 5.217
3.323 1.108 5.217
```

Peak list (8 most intense, 2θ = 10–90°, by intensity)
| 2θ/deg | I/Imax |
| --- | --- |
| 33.36 | 100.0 |
| 40.73 | 65.8 |
| 32.74 | 54.9 |
| 53.21 | 27.4 |
| 69.47 | 23.5 |
| 48.20 | 22.9 |
| 58.97 | 21.9 |
| 64.90 | 18.9 |

=====

Entry 3:
Starting from a cell relaxed with PBE, the X-ray diffraction stick pattern of NdDySbCl2 was calculated for Cu Kα.

Atomic structure:
```
NdDySbCl2
1.0
4.232 0.000 0.000
-2.116 3.665 0.000
0.000 0.000 10.646
Nd Dy Sb Cl
1 1 1 2
Cartesian
0.000 0.000 0.000
2.116 1.222 7.047
0.000 2.443 8.766
0.000 0.000 5.553
2.116 1.222 1.598
```

Peak list (8 most intense, 2θ = 10–90°, by intensity)
| 2θ/deg | I/Imax |
| --- | --- |
| 29.59 | 100.0 |
| 41.95 | 38.6 |
| 25.71 | 37.8 |
| 42.74 | 36.1 |
| 35.20 | 29.3 |
| 52.84 | 19.1 |
| 43.61 | 16.5 |
| 70.21 | 16.1 |

=====

Entry 4:
Starting from a cell relaxed with PBE, the X-ray diffraction stick pattern of Er3Cd3AgAu2 was calculated for Cu Kα.

Atomic structure:
```
Er3Cd3AgAu2
1.0
3.818 0.000 0.000
0.000 6.780 3.908
0.000 -6.780 3.908
Er Cd Ag Au
3 3 1 2
Cartesian
0.000 0.000 0.000
0.000 -2.768 4.785
0.000 2.768 4.785
1.909 -1.781 2.166
1.909 1.781 2.166
1.909 0.000 5.237
0.000 0.000 3.192
1.909 -4.512 3.186
1.909 4.512 3.186
```

Peak list (8 most intense, 2θ = 10–90°, by intensity)
| 2θ/deg | I/Imax |
| --- | --- |
| 32.78 | 100.0 |
| 35.43 | 91.1 |
| 39.92 | 50.4 |
| 35.05 | 42.9 |
| 64.76 | 32.6 |
| 42.51 | 27.5 |
| 63.85 | 25.0 |
| 47.63 | 22.9 |

=====

Entry 5:
Starting from a cell relaxed with PBE, the X-ray diffraction stick pattern of CdAg10 was calculated for Cu Kα.

Atomic structure:
```
CdAg10
1.0
4.628 -2.069 0.000
4.628 2.069 0.000
-0.169 0.000 34.203
Cd Ag
2 20
Cartesian
1.387 0.000 7.301
7.700 0.000 26.902
0.377 0.000 13.842
0.345 0.000 23.166
1.244 0.000 26.004
1.303 0.000 16.638
2.236 0.000 19.433
2.287 0.000 10.131
3.160 0.000 12.922
3.143 0.000 22.240
4.079 0.000 15.709
4.047 0.000 25.081
5.040 0.000 9.122
5.008 0.000 18.494
5.943 0.000 11.963
5.926 0.000 21.281
6.799 0.000 24.072
6.850 0.000 14.771
7.784 0.000 17.565
7.842 0.000 8.199
8.741 0.000 11.037
8.709 0.000 20.361
```

Peak list (8 most intense, 2θ = 10–90°, by intensity)
| 2θ/deg | I/Imax |
| --- | --- |
| 37.50 | 100.0 |
| 37.83 | 84.8 |
| 37.17 | 60.1 |
| 43.78 | 48.0 |
| 35.44 | 31.1 |
| 43.35 | 28.5 |
| 44.19 | 26.8 |
| 39.65 | 24.0 |

=====

Entry 6:
Starting from a cell relaxed with PBE, the X-ray diffraction stick pattern of CdAg4Ge2S7 was calculated for Cu Kα.

Atomic structure:
```
CdAg4Ge2S7
1.0
8.878 -3.460 0.000
8.878 3.460 0.000
-0.604 0.000 10.618
Cd Ag Ge S
2 8 4 14
Cartesian
8.576 2.233 5.309
8.878 -2.233 0.000
5.906 2.185 8.608
7.471 0.853 1.706
11.357 2.215 2.262
12.280 1.207 6.324
7.169 -0.853 7.016
6.208 -2.185 3.299
12.582 -1.207 1.015
11.055 -2.215 7.571
4.832 1.189 4.827
9.716 1.213 9.345
4.531 -1.189 10.136
10.017 -1.213 4.036
3.028 1.155 3.252
6.546 2.197 3.742
5.014 0.927 10.589
9.477 2.220 0.550
8.166 1.387 7.724
2.726 -1.155 8.561
5.316 -0.927 5.280
10.581 0.932 4.395
13.455 1.168 1.346
8.468 -1.387 2.415
6.244 -2.197 9.051
10.279 -0.932 9.704
9.175 -2.220 5.860
13.153 -1.168 6.655
```

Peak list (8 most intense, 2θ = 10–90°, by intensity)
| 2θ/deg | I/Imax |
| --- | --- |
| 29.12 | 100.0 |
| 26.93 | 69.0 |
| 25.41 | 61.8 |
| 28.52 | 50.8 |
| 45.20 | 45.4 |
| 25.75 | 33.2 |
| 44.58 | 26.8 |
| 49.32 | 25.2 |

=====

Entry 7:
Starting from a cell relaxed with PBE, the X-ray diffraction stick pattern of NbBAu was calculated for Cu Kα.

Atomic structure:
```
NbBAu
1.0
0.000 2.971 2.971
2.971 0.000 2.971
2.971 2.971 0.000
Nb B Au
1 1 1
Cartesian
0.000 0.000 0.000
1.485 1.485 1.485
4.456 4.456 4.456
```

Peak list (8 most intense, 2θ = 10–90°, by intensity)
| 2θ/deg | I/Imax |
| --- | --- |
| 25.97 | 100.0 |
| 43.06 | 79.6 |
| 50.98 | 49.5 |
| 78.94 | 27.2 |
| 68.88 | 20.3 |
| 84.78 | 15.9 |
| 30.08 | 14.0 |
| 62.53 | 13.1 |

=====

Entry 8:
Starting from a cell relaxed with PBE, the X-ray diffraction stick pattern of Pr3Dy2Co2B6 was calculated for Cu Kα.

Atomic structure:
```
Pr3Dy2Co2B6
1.0
2.722 1.571 8.100
-2.722 1.571 8.100
0.000 -3.143 8.100
Pr Dy Co B
3 2 2 6
Cartesian
0.000 0.000 0.000
0.000 0.000 6.165
0.000 0.000 18.136
0.000 0.000 10.227
0.000 0.000 14.074
0.000 0.000 2.978
0.000 0.000 21.323
-0.904 -1.565 12.151
-1.807 0.000 12.151
0.904 -1.565 12.151
-0.904 1.565 12.151
1.807 0.000 12.151
0.904 1.565 12.151
```

Peak list (8 most intense, 2θ = 10–90°, by intensity)
| 2θ/deg | I/Imax |
| --- | --- |
| 32.91 | 100.0 |
| 32.02 | 48.5 |
| 39.91 | 39.6 |
| 58.76 | 21.7 |
| 21.95 | 21.5 |
| 56.65 | 20.2 |
| 26.34 | 17.6 |
| 58.20 | 17.5 |